The following is a calculated powder X-ray diffraction pattern of PuCl2F5. It was derived from a PBE-relaxed structure, using Cu Kα, 1.54184 Å.

Main lines, by angle (2θ from 15° to 90°):
| 2θ (°) | d_spacing | I (rel.) |
| --- | --- | --- |
| 18.12 | 4.896 | 29 |
| 20.04 | 4.430 | 100 |
| 21.40 | 4.153 | 59 |
| 22.16 | 4.011 | 82 |
| 22.23 | 3.999 | 37 |
| 22.93 | 3.879 | 18 |
| 26.24 | 3.396 | 23 |
| 26.55 | 3.358 | 19 |
| 36.72 | 2.448 | 21 |
| 43.57 | 2.077 | 26 |

Atomic structure:
Cell lengths 4.492, 5.359, 9.072 Å; angles 89.30, 78.35, 66.38 degrees
Space group P-1 (No. 2)
One atom of each set of equivalent atoms:
Pu  0.000  0.000  0.000 x1
Cl  0.335  0.605  0.440 x2
F  0.025  0.128  0.788 x2
F  0.226  0.610  0.910 x2
F  0.500  0.000  0.000 x1


The following is a calculated powder X-ray diffraction pattern of Pr5Ga2H. It was derived from a PBE-relaxed structure, using Cu Kα, 1.54184 Å.

Main lines, by angle (2θ from 15° to 90°):
| 2θ (°) | d_spacing | I (rel.) |
| --- | --- | --- |
| 16.03 | 5.529 | 15 |
| 25.15 | 3.541 | 10 |
| 32.39 | 2.764 | 100 |
| 35.87 | 2.504 | 38 |
| 40.79 | 2.212 | 13 |
| 51.63 | 1.770 | 13 |
| 55.43 | 1.658 | 22 |
| 62.28 | 1.491 | 30 |
| 67.80 | 1.382 | 12 |
| 68.99 | 1.361 | 11 |

Atomic structure:
Cell lengths 7.081, 7.081, 8.848 Å; angles 90.00, 90.00, 90.00 degrees
Space group I4mm (No. 107)
One atom of each set of equivalent atoms:
Pr  0.000  0.000  0.000 x2
Pr  0.250  0.250  0.246 x8
Ga  0.000  0.500  0.498 x4
H  0.000  0.000  0.266 x2


The following is a calculated powder X-ray diffraction pattern of Zn2Sn2O5. It was derived from a PBE-relaxed structure, using Cu Kα, 1.54184 Å.

Main lines, by angle (2θ from 15° to 90°):
| 2θ (°) | d_spacing | I (rel.) |
| --- | --- | --- |
| 28.45 | 3.137 | 20 |
| 29.45 | 3.033 | 48 |
| 30.12 | 2.967 | 55 |
| 31.33 | 2.855 | 40 |
| 34.02 | 2.635 | 100 |
| 36.55 | 2.458 | 19 |
| 49.31 | 1.848 | 17 |
| 52.22 | 1.752 | 33 |
| 56.02 | 1.642 | 27 |
| 56.97 | 1.617 | 22 |

Atomic structure:
Cell lengths 3.330, 11.870, 6.274 Å; angles 90.00, 90.00, 90.00 degrees
Space group Pmc2_1 (No. 26)
One atom of each set of equivalent atoms:
Zn  0.000  0.132  0.000 x2
Zn  0.000  0.345  0.666 x2
Sn  0.500  0.122  0.479 x2
Sn  0.500  0.396  0.159 x2
O  0.000  0.168  0.689 x2
O  0.000  0.306  0.061 x2
O  0.500  0.055  0.085 x2
O  0.500  0.322  0.457 x2
O  0.500  0.447  0.812 x2


The following is a calculated powder X-ray diffraction pattern of PmSmYAg. It was derived from a PBE-relaxed structure, using Cu Kα, 1.54184 Å.

Main lines, by angle (2θ from 15° to 90°):
| 2θ (°) | d_spacing | I (rel.) |
| --- | --- | --- |
| 26.35 | 3.383 | 9 |
| 31.84 | 2.811 | 100 |
| 34.59 | 2.593 | 45 |
| 41.26 | 2.188 | 8 |
| 46.87 | 1.938 | 7 |
| 49.72 | 1.834 | 16 |
| 54.90 | 1.672 | 15 |
| 60.26 | 1.536 | 31 |
| 66.53 | 1.405 | 8 |
| 83.32 | 1.160 | 7 |

Atomic structure:
Cell lengths 3.668, 3.668, 8.752 Å; angles 90.00, 90.00, 90.00 degrees
Space group P4mm (No. 99)
One atom of each set of equivalent atoms:
Pm  0.000  0.000  0.000 x1
Sm  0.500  0.500  0.710 x1
Y  0.500  0.500  0.289 x1
Ag  0.000  0.000  0.491 x1


The following is a calculated powder X-ray diffraction pattern of TbEr6Th3. It was derived from a PBE-relaxed structure, using Cu Kα, 1.54184 Å.

Main lines, by angle (2θ from 15° to 90°):
| 2θ (°) | d_spacing | I (rel.) |
| --- | --- | --- |
| 29.04 | 3.075 | 25 |
| 30.52 | 2.929 | 26 |
| 31.56 | 2.835 | 99 |
| 32.14 | 2.785 | 100 |
| 32.34 | 2.769 | 79 |
| 32.63 | 2.744 | 44 |
| 32.87 | 2.724 | 25 |
| 33.96 | 2.640 | 33 |
| 52.32 | 1.749 | 27 |
| 62.87 | 1.478 | 24 |

Atomic structure:
Cell lengths 13.042, 3.497, 14.589 Å; angles 90.00, 108.40, 90.00 degrees
Space group P2_1/m (No. 11)
One atom of each set of equivalent atoms:
Tb  0.081  0.250  0.197 x2
Er  0.140  0.750  0.013 x2
Er  0.156  0.250  0.809 x2
Er  0.215  0.250  0.601 x2
Er  0.260  0.750  0.403 x2
Er  0.339  0.250  0.224 x2
Er  0.393  0.750  0.790 x2
Th  0.007  0.250  0.395 x2
Th  0.385  0.250  0.004 x2
Th  0.466  0.250  0.591 x2


The following is a calculated powder X-ray diffraction pattern of Cs4K7O. It was derived from a PBE-relaxed structure, using Cu Kα, 1.54184 Å.

Main lines, by angle (2θ from 15° to 90°):
| 2θ (°) | d_spacing | I (rel.) |
| --- | --- | --- |
| 15.54 | 5.701 | 22 |
| 17.93 | 4.946 | 36 |
| 20.70 | 4.291 | 24 |
| 21.17 | 4.197 | 27 |
| 21.47 | 4.139 | 46 |
| 22.25 | 3.996 | 100 |
| 23.80 | 3.739 | 41 |
| 25.46 | 3.498 | 23 |
| 31.92 | 2.804 | 30 |
| 35.41 | 2.535 | 23 |

Atomic structure:
Cell lengths 24.286, 5.071, 16.833 Å; angles 90.00, 112.53, 90.00 degrees
Space group C2/m (No. 12)
One atom of each set of equivalent atoms:
Cs  0.076  0.000  0.435 x4
Cs  0.175  0.000  0.063 x4
K  0.000  0.000  0.000 x2
K  0.014  0.500  0.156 x4
K  0.133  0.000  0.753 x4
K  0.245  0.000  0.368 x4
O  0.000  0.500  0.000 x2